Computed X-ray powder pattern of Mg2Ti for CuKα, from a DFT-relaxed cell (PBE, Alexandria).
Neutral-atom scattering factors, no anomalous dispersion.

Largest 10 diffraction maxima, low angle first, 2θ = 5–70°:
| (hkl) | 2θ/deg | I/Imax |
| --- | --- | --- |
| 0 0 2 | 10.89 | 30 |
| 1 0 0 | 17.43 | 15 |
| 0 0 6 | 33.08 | 10 |
| 0 1 3 | 34.35 | 31 |
| 2 0 0 | 35.28 | 48 |
| 1 0 6 | 37.62 | 57 |
| 1 1 3 | 38.76 | 100 |
| 2 1 3 | 50.06 | 20 |
| 0 1 9 | 59.90 | 14 |
| 3 1 3 | 65.64 | 19 |

a = 5.0885 Å, b = 2.9801 Å, c = 16.2493 Å
α = 90.00°, β = 90.00°, γ = 90.00°
Space group Amm2 (No. 38)
Asymmetric unit:
1 Mg 0.0000 0.0000 0.0000 [2 per cell]
2 Mg 0.0000 0.0000 0.3242 [2 per cell]
3 Mg 0.0000 0.0000 0.6611 [2 per cell]
4 Mg 0.5000 0.0000 0.8895 [2 per cell]
5 Ti 0.5000 0.0000 0.2087 [2 per cell]
6 Ti 0.5000 0.0000 0.5672 [2 per cell]

Computed X-ray powder pattern of MgTi5 for CuKα, from a DFT-relaxed cell (PBE, Alexandria).
Neutral-atom scattering factors, no anomalous dispersion.

Largest 10 diffraction maxima, low angle first, 2θ = 5–70°:
| (hkl) | 2θ/deg | I/Imax |
| --- | --- | --- |
| 0 0 1 | 6.18 | 30 |
| 0 0 2 | 12.39 | 7 |
| 1 0 0 | 35.07 | 26 |
| 0 0 6 | 37.77 | 24 |
| 1 0 3 | 39.99 | 100 |
| 1 0 4 | 43.50 | 4 |
| 0 0 7 | 44.37 | 2 |
| 1 0 6 | 52.48 | 13 |
| 1 1 0 | 62.90 | 16 |
| 1 0 9 | 69.69 | 13 |

a = 2.9549 Å, b = 2.9549 Å, c = 14.2922 Å
α = 90.00°, β = 90.00°, γ = 120.00°
Space group P-6m2 (No. 187)
Asymmetric unit:
1 Mg 0.0000 0.0000 0.0000 [1 per cell]
2 Ti 0.0000 0.0000 0.3369 [2 per cell]
3 Ti 0.3333 0.6667 0.1810 [2 per cell]
4 Ti 0.3333 0.6667 0.5000 [1 per cell]

Computed X-ray powder pattern of MgTi5 for CuKα, from a DFT-relaxed cell (PBE, Alexandria).
Neutral-atom scattering factors, no anomalous dispersion.

Largest 10 diffraction maxima, low angle first, 2θ = 5–70°:
| (hkl) | 2θ/deg | I/Imax |
| --- | --- | --- |
| 0 0 2 | 11.47 | 13 |
| 0 0 6 | 34.90 | 11 |
| 0 1 3 | 35.57 | 27 |
| 2 0 0 | 37.43 | 43 |
| 1 0 6 | 39.76 | 55 |
| 1 1 3 | 40.36 | 100 |
| 2 1 3 | 52.59 | 16 |
| 0 1 9 | 63.01 | 15 |
| 3 0 6 | 69.08 | 9 |
| 3 1 3 | 69.50 | 17 |

a = 4.8057 Å, b = 2.8970 Å, c = 15.4265 Å
α = 90.00°, β = 90.00°, γ = 90.00°
Space group Amm2 (No. 38)
Asymmetric unit:
1 Mg 0.0000 0.0000 0.0000 [2 per cell]
2 Ti 0.0000 0.0000 0.3266 [2 per cell]
3 Ti 0.0000 0.0000 0.6678 [2 per cell]
4 Ti 0.5000 0.0000 0.1131 [2 per cell]
5 Ti 0.5000 0.0000 0.4331 [2 per cell]
6 Ti 0.5000 0.0000 0.7740 [2 per cell]

Computed X-ray powder pattern of Mg5TiZn6 for CuKα, from a DFT-relaxed cell (PBE, Alexandria).
Neutral-atom scattering factors, no anomalous dispersion.

Largest 10 diffraction maxima, low angle first, 2θ = 5–70°:
| (hkl) | 2θ/deg | I/Imax |
| --- | --- | --- |
| 0 0 2 | 25.53 | 13 |
| 1 3 0 | 28.25 | 20 |
| 1 3 2 | 38.44 | 100 |
| 0 6 0 | 40.12 | 22 |
| 2 0 0 | 40.63 | 22 |
| 2 0 2 | 48.60 | 5 |
| 0 0 4 | 52.46 | 10 |
| 2 6 0 | 58.42 | 14 |
| 0 6 4 | 68.03 | 8 |
| 2 0 4 | 68.39 | 8 |

a = 4.4415 Å, b = 13.4856 Å, c = 6.9773 Å
α = 90.00°, β = 90.00°, γ = 90.00°
Space group Cmmm (No. 65)
Asymmetric unit:
1 Mg 0.0000 0.0000 0.0000 [2 per cell]
2 Mg 0.0000 0.3283 0.0000 [4 per cell]
3 Mg 0.0000 0.3360 0.5000 [4 per cell]
4 Ti 0.0000 0.0000 0.5000 [2 per cell]
5 Zn 0.0000 0.1620 0.2587 [8 per cell]
6 Zn 0.0000 0.5000 0.2535 [4 per cell]

Computed X-ray powder pattern of Mg14TiZn for CuKα, from a DFT-relaxed cell (PBE, Alexandria).
Neutral-atom scattering factors, no anomalous dispersion.

Largest 10 diffraction maxima, low angle first, 2θ = 5–70°:
| (hkl) | 2θ/deg | I/Imax |
| --- | --- | --- |
| 1 0 0 | 8.77 | 30 |
| 0 0 4 | 32.63 | 13 |
| 0 2 2 | 32.95 | 27 |
| 4 0 0 | 35.63 | 38 |
| 2 0 4 | 37.31 | 52 |
| 2 2 2 | 37.60 | 100 |
| 4 2 2 | 49.31 | 16 |
| 0 2 6 | 58.43 | 17 |
| 6 0 4 | 65.10 | 9 |
| 6 2 2 | 65.29 | 17 |

a = 10.0802 Å, b = 6.2571 Å, c = 10.9777 Å
α = 90.00°, β = 90.00°, γ = 90.00°
Space group Amm2 (No. 38)
Asymmetric unit:
1 Mg 0.0000 0.0000 0.0000 [2 per cell]
2 Mg 0.0000 0.0000 0.4992 [2 per cell]
3 Mg 0.0000 0.2486 0.2505 [4 per cell]
4 Mg 0.2541 0.0000 0.6622 [4 per cell]
5 Mg 0.2613 0.0000 0.1626 [4 per cell]
6 Mg 0.2617 0.2474 0.4189 [8 per cell]
7 Mg 0.5000 0.2454 0.7520 [4 per cell]
8 Ti 0.5000 0.0000 0.5041 [2 per cell]
9 Zn 0.5000 0.0000 0.9972 [2 per cell]

Computed X-ray powder pattern of MgTi5Zn6 for CuKα, from a DFT-relaxed cell (PBE, Alexandria).
Neutral-atom scattering factors, no anomalous dispersion.

Largest 10 diffraction maxima, low angle first, 2θ = 5–70°:
| (hkl) | 2θ/deg | I/Imax |
| --- | --- | --- |
| 0 2 0 | 27.54 | 4 |
| 1 0 3 | 28.59 | 7 |
| 1 2 3 | 40.12 | 100 |
| 0 0 6 | 40.72 | 24 |
| 2 0 0 | 41.03 | 23 |
| 0 2 6 | 49.87 | 2 |
| 2 2 0 | 50.13 | 2 |
| 0 4 0 | 56.86 | 8 |
| 2 0 6 | 59.18 | 15 |
| 1 4 3 | 64.87 | 1 |

a = 4.3996 Å, b = 6.4767 Å, c = 13.2953 Å
α = 90.00°, β = 90.00°, γ = 90.00°
Space group Immm (No. 71)
Asymmetric unit:
1 Mg 0.0000 0.0000 0.0000 [2 per cell]
2 Ti 0.0000 0.0000 0.3340 [4 per cell]
3 Ti 0.0000 0.5000 0.0000 [2 per cell]
4 Ti 0.0000 0.5000 0.3336 [4 per cell]
5 Zn 0.0000 0.2490 0.1678 [8 per cell]
6 Zn 0.0000 0.2518 0.5000 [4 per cell]

Computed X-ray powder pattern of MgZrTi4 for CuKα, from a DFT-relaxed cell (PBE, Alexandria).
Neutral-atom scattering factors, no anomalous dispersion.

Largest 10 diffraction maxima, low angle first, 2θ = 5–70°:
| (hkl) | 2θ/deg | I/Imax |
| --- | --- | --- |
| 1 1 1 | 19.78 | 17 |
| 2 0 0 | 22.87 | 10 |
| 2 2 0 | 32.57 | 33 |
| 3 1 1 | 38.39 | 100 |
| 2 2 2 | 40.17 | 34 |
| 3 3 1 | 51.21 | 2 |
| 4 2 0 | 52.64 | 6 |
| 4 2 2 | 58.12 | 12 |
| 3 3 3 | 62.02 | 29 |
| 4 4 0 | 68.23 | 22 |

a = 7.7758 Å, b = 7.7758 Å, c = 7.7758 Å
α = 90.00°, β = 90.00°, γ = 90.00°
Space group F-43m (No. 216)
Asymmetric unit:
1 Mg 0.0000 0.0000 0.0000 [4 per cell]
2 Zr 0.2500 0.2500 0.7500 [4 per cell]
3 Ti 0.1218 0.1218 0.3782 [16 per cell]

Computed X-ray powder pattern of Mg3Tl for CuKα, from a DFT-relaxed cell (PBE, Alexandria).
Neutral-atom scattering factors, no anomalous dispersion.

Largest 10 diffraction maxima, low angle first, 2θ = 5–70°:
| (hkl) | 2θ/deg | I/Imax |
| --- | --- | --- |
| 0 2 0 | 17.15 | 56 |
| 1 1 0 | 18.03 | 100 |
| 0 1 1 | 28.39 | 34 |
| 1 3 0 | 30.47 | 29 |
| 1 0 1 | 31.47 | 35 |
| 0 4 0 | 34.70 | 26 |
| 1 2 1 | 36.06 | 78 |
| 2 2 0 | 36.53 | 37 |
| 2 1 1 | 43.30 | 23 |
| 1 4 1 | 47.55 | 23 |

a = 5.5930 Å, b = 10.3393 Å, c = 3.3004 Å
α = 90.00°, β = 90.00°, γ = 90.00°
Space group Pnnm (No. 58)
Asymmetric unit:
1 Mg 0.0000 0.0000 0.0000 [2 per cell]
2 Mg 0.1650 0.2496 0.5000 [4 per cell]
3 Tl 0.0000 0.5000 0.0000 [2 per cell]

Computed X-ray powder pattern of MgTl7 for CuKα, from a DFT-relaxed cell (PBE, Alexandria).
Neutral-atom scattering factors, no anomalous dispersion.

Largest 10 diffraction maxima, low angle first, 2θ = 5–70°:
| (hkl) | 2θ/deg | I/Imax |
| --- | --- | --- |
| 1 1 1 | 15.69 | 8 |
| 2 0 0 | 18.14 | 4 |
| 2 2 0 | 25.76 | 4 |
| 3 1 1 | 30.31 | 5 |
| 2 2 2 | 31.69 | 100 |
| 4 0 0 | 36.75 | 51 |
| 3 3 1 | 40.19 | 2 |
| 4 4 0 | 52.95 | 36 |
| 6 2 2 | 63.04 | 43 |
| 4 4 4 | 66.19 | 12 |

a = 9.7815 Å, b = 9.7815 Å, c = 9.7815 Å
α = 90.00°, β = 90.00°, γ = 90.00°
Space group Fm-3m (No. 225)
Asymmetric unit:
1 Mg 0.0000 0.0000 0.0000 [4 per cell]
2 Tl 0.0000 0.0000 0.5000 [4 per cell]
3 Tl 0.0000 0.2500 0.2500 [24 per cell]

Computed X-ray powder pattern of MgTl7 for CuKα, from a DFT-relaxed cell (PBE, Alexandria).
Neutral-atom scattering factors, no anomalous dispersion.

Largest 10 diffraction maxima, low angle first, 2θ = 5–70°:
| (hkl) | 2θ/deg | I/Imax |
| --- | --- | --- |
| 0 0 2 | 8.41 | 4 |
| 1 0 1 | 19.28 | 5 |
| 1 1 4 | 31.77 | 100 |
| 0 0 8 | 34.11 | 20 |
| 2 0 0 | 38.15 | 31 |
| 2 0 8 | 52.09 | 25 |
| 2 2 0 | 55.05 | 11 |
| 1 1 12 | 59.59 | 16 |
| 3 1 4 | 64.98 | 26 |
| 2 2 8 | 66.37 | 12 |

a = 4.7180 Å, b = 4.7180 Å, c = 21.0284 Å
α = 90.00°, β = 90.00°, γ = 90.00°
Space group I4/mmm (No. 139)
Asymmetric unit:
1 Mg 0.0000 0.0000 0.0000 [2 per cell]
2 Tl 0.0000 0.0000 0.2495 [4 per cell]
3 Tl 0.0000 0.0000 0.5000 [2 per cell]
4 Tl 0.0000 0.5000 0.1200 [8 per cell]

Computed X-ray powder pattern of Mg2Tl5 for CuKα, from a DFT-relaxed cell (PBE, Alexandria).
Neutral-atom scattering factors, no anomalous dispersion.

Largest 10 diffraction maxima, low angle first, 2θ = 5–70°:
| (hkl) | 2θ/deg | I/Imax |
| --- | --- | --- |
| 0 0 2 | 5.40 | 64 |
| 1 0 5 | 29.20 | 41 |
| 1 0 7 | 32.19 | 100 |
| 0 0 12 | 32.85 | 17 |
| 1 1 0 | 36.74 | 42 |
| 1 1 12 | 50.10 | 21 |
| 2 0 0 | 52.94 | 15 |
| 1 1 14 | 54.28 | 14 |
| 1 0 19 | 60.01 | 17 |
| 2 1 7 | 63.32 | 29 |

a = 3.4592 Å, b = 3.4592 Å, c = 32.7215 Å
α = 90.00°, β = 90.00°, γ = 90.00°
Space group I4/mmm (No. 139)
Asymmetric unit:
1 Mg 0.0000 0.0000 0.2195 [4 per cell]
2 Tl 0.0000 0.0000 0.0788 [4 per cell]
3 Tl 0.0000 0.0000 0.3441 [4 per cell]
4 Tl 0.0000 0.0000 0.5000 [2 per cell]

Computed X-ray powder pattern of Mg4Tl for CuKα, from a DFT-relaxed cell (PBE, Alexandria).
Neutral-atom scattering factors, no anomalous dispersion.

Largest 10 diffraction maxima, low angle first, 2θ = 5–70°:
| (hkl) | 2θ/deg | I/Imax |
| --- | --- | --- |
| 1 0 1 | 19.38 | 100 |
| 1 1 0 | 21.81 | 50 |
| 0 0 2 | 23.60 | 13 |
| 1 1 2 | 32.35 | 40 |
| 2 1 1 | 36.85 | 68 |
| 1 0 3 | 39.10 | 33 |
| 2 0 2 | 39.35 | 25 |
| 3 0 1 | 48.93 | 14 |
| 2 1 3 | 50.73 | 14 |
| 3 1 2 | 56.05 | 16 |

a = 5.7633 Å, b = 5.7633 Å, c = 7.5410 Å
α = 90.00°, β = 90.00°, γ = 90.00°
Space group P-42_1c (No. 114)
Asymmetric unit:
1 Mg 0.1051 0.2470 0.3460 [8 per cell]
2 Tl 0.0000 0.0000 0.0000 [2 per cell]